# DyErNb2Ge2
Theoretical X-ray powder pattern, Cu Kα, 1.54184 Å. Input: a crystal structure in OQMD, relaxed with PBE.

a b c (Å): 4.024 4.024 7.823
angles (deg): 90.00 90.00 90.00
Space group P4mm (No. 99)
Symmetry-distinct sites (fractional):
Dy 0.000 0.000 0.000 x1
Er 0.500 0.500 0.295 x1
Nb 0.000 0.500 0.646 x2
Ge 0.000 0.000 0.399 x1
Ge 0.500 0.500 0.894 x1

Main lines, sorted by position (2θ from 10° to 90°):
| h k l | 2theta | d/Å | I/Imax |
| --- | --- | --- | --- |
| 1 1 0 | 31.44 | 2.845 | 32 |
| 1 0 2 | 31.91 | 2.805 | 77 |
| 1 1 1 | 33.51 | 2.674 | 100 |
| 0 0 3 | 34.39 | 2.608 | 38 |
| 1 1 2 | 39.15 | 2.301 | 83 |
| 1 0 3 | 41.26 | 2.188 | 27 |
| 2 0 0 | 45.06 | 2.012 | 66 |
| 2 1 2 | 56.27 | 1.635 | 31 |
| 2 0 3 | 57.89 | 1.593 | 33 |
| 2 1 5 | 81.53 | 1.181 | 24 |

=====

# CsGdZnTeSe2
Theoretical X-ray powder pattern, Cu Kα, 1.54184 Å. Input: a crystal structure in OQMD, relaxed with PBE.

a b c (Å): 4.276 16.925 11.543
angles (deg): 90.00 90.00 90.00
Space group Cmcm (No. 63)
Symmetry-distinct sites (fractional):
Cs 0.000 0.236 0.250 x4
Gd 0.000 0.000 0.000 x4
Zn 0.000 0.472 0.750 x4
Te 0.000 0.073 0.750 x4
Se 0.000 0.393 0.570 x8

Main lines, sorted by position (2θ from 10° to 90°):
| h k l | 2theta | d/Å | I/Imax |
| --- | --- | --- | --- |
| 0 2 0 | 10.45 | 8.462 | 79 |
| 0 2 2 | 18.61 | 4.768 | 28 |
| 0 2 3 | 25.43 | 3.503 | 21 |
| 1 3 1 | 27.29 | 3.268 | 100 |
| 1 3 2 | 30.46 | 2.934 | 47 |
| 0 0 4 | 30.99 | 2.886 | 31 |
| 1 5 2 | 37.29 | 2.411 | 39 |
| 2 0 0 | 42.27 | 2.138 | 26 |
| 1 7 2 | 45.90 | 1.977 | 29 |
| 1 3 5 | 47.58 | 1.911 | 31 |

=====

# HfZr2Ni4P4
Theoretical X-ray powder pattern, Cu Kα, 1.54184 Å. Input: a crystal structure in OQMD, relaxed with PBE.

a b c (Å): 6.256 3.695 7.049
angles (deg): 90.00 90.90 90.00
Space group Pm (No. 6)
Symmetry-distinct sites (fractional):
Hf 0.000 0.000 0.000 x1
Zr 0.493 0.000 0.850 x1
Zr 0.540 0.500 0.479 x1
Ni 0.159 0.500 0.719 x1
Ni 0.383 0.000 0.229 x1
Ni 0.667 0.500 0.109 x1
Ni 0.882 0.000 0.606 x1
P 0.241 0.000 0.536 x1
P 0.287 0.500 0.058 x1
P 0.770 0.000 0.292 x1
P 0.795 0.500 0.790 x1

Main lines, sorted by position (2θ from 10° to 90°):
| h k l | 2theta | d/Å | I/Imax |
| --- | --- | --- | --- |
| 0 0 1 | 12.56 | 7.048 | 61 |
| 1 0 1 | 19.12 | 4.642 | 31 |
| 2 1 0 | 37.68 | 2.387 | 59 |
| 1 1 -2 | 37.95 | 2.371 | 66 |
| 1 1 2 | 38.25 | 2.353 | 100 |
| 2 1 -1 | 39.72 | 2.269 | 65 |
| 2 1 1 | 40.02 | 2.253 | 63 |
| 1 0 3 | 41.26 | 2.188 | 29 |
| 0 1 3 | 45.77 | 1.982 | 42 |
| 0 2 0 | 49.33 | 1.847 | 53 |

=====

# Lu4FeSnN2
Theoretical X-ray powder pattern, Cu Kα, 1.54184 Å. Input: a crystal structure in OQMD, relaxed with PBE.

a b c (Å): 3.3702 3.3702 14.3665
angles (deg): 90.00 90.00 120.00
Space group P-6m2 (No. 187)
Symmetry-distinct sites (fractional):
Lu 0.0000 0.0000 0.1348 x2
Lu 0.6667 0.3333 0.3228 x2
Fe 0.6667 0.3333 0.0000 x1
Sn 0.0000 0.0000 0.5000 x1
N 0.3333 0.6667 0.2437 x2

Main lines, sorted by position (2θ from 10° to 90°):
| h k l | 2theta | d/Å | I/Imax |
| --- | --- | --- | --- |
| 1 0 0 | 30.63 | 2.919 | 27 |
| 0 0 5 | 31.13 | 2.873 | 11 |
| 1 0 3 | 36.04 | 2.492 | 100 |
| 0 0 6 | 37.56 | 2.394 | 11 |
| 1 0 6 | 49.22 | 1.851 | 11 |
| 1 1 0 | 54.45 | 1.685 | 25 |
| 1 0 8 | 60.53 | 1.529 | 16 |
| 1 1 5 | 64.07 | 1.453 | 10 |
| 2 0 3 | 67.04 | 1.396 | 16 |
| 1 1 6 | 68.03 | 1.378 | 12 |

=====

# Dy2Al3Pt4
Theoretical X-ray powder pattern, Cu Kα, 1.54184 Å. Input: a crystal structure in OQMD, relaxed with PBE.

a b c (Å): 5.599 15.302 7.563
angles (deg): 90.00 90.00 90.00
Space group Cmce (No. 64)
Symmetry-distinct sites (fractional):
Dy 0.000 0.106 0.092 x8
Al 0.000 0.000 0.500 x4
Al 0.250 0.229 0.750 x8
Pt 0.000 0.182 0.472 x8
Pt 0.250 0.060 0.750 x8

Main lines, sorted by position (2θ from 10° to 90°):
| h k l | 2theta | d/Å | I/Imax |
| --- | --- | --- | --- |
| 0 4 1 | 26.10 | 3.414 | 33 |
| 0 2 2 | 26.29 | 3.390 | 47 |
| 1 3 1 | 26.41 | 3.374 | 29 |
| 1 3 2 | 33.56 | 2.670 | 29 |
| 1 5 1 | 35.47 | 2.531 | 100 |
| 2 2 1 | 36.17 | 2.483 | 63 |
| 0 2 3 | 37.57 | 2.394 | 61 |
| 2 0 2 | 40.07 | 2.250 | 87 |
| 2 4 1 | 41.73 | 2.165 | 24 |
| 3 5 1 | 59.27 | 1.559 | 23 |

=====

# Sm2Pb2O5
Theoretical X-ray powder pattern, Cu Kα, 1.54184 Å. Input: a crystal structure in OQMD, relaxed with PBE.

a b c (Å): 4.388 4.388 8.314
angles (deg): 90.00 90.00 90.00
Space group P4/mmm (No. 123)
Symmetry-distinct sites (fractional):
Sm 0.000 0.000 0.241 x2
Pb 0.500 0.500 0.000 x1
Pb 0.500 0.500 0.500 x1
O 0.000 0.000 0.500 x1
O 0.000 0.500 0.184 x4

Main lines, sorted by position (2θ from 10° to 90°):
| h k l | 2theta | d/Å | I/Imax |
| --- | --- | --- | --- |
| 1 1 0 | 28.77 | 3.103 | 49 |
| 1 0 2 | 29.60 | 3.018 | 100 |
| 2 0 0 | 41.14 | 2.194 | 27 |
| 2 1 2 | 51.49 | 1.775 | 44 |
| 1 1 4 | 53.03 | 1.727 | 22 |
| 2 0 4 | 61.45 | 1.509 | 14 |
| 3 0 2 | 67.93 | 1.380 | 10 |
| 3 2 2 | 82.60 | 1.168 | 12 |
| 3 1 4 | 83.82 | 1.154 | 12 |
| 2 1 6 | 85.85 | 1.132 | 10 |

=====

# HoSi2NiPd
Theoretical X-ray powder pattern, Cu Kα, 1.54184 Å. Input: a crystal structure in OQMD, relaxed with PBE.

a b c (Å): 4.041 4.041 9.803
angles (deg): 90.00 90.00 90.00
Space group I-4m2 (No. 119)
Symmetry-distinct sites (fractional):
Ho 0.000 0.000 0.000 x2
Si 0.000 0.000 0.381 x4
Ni 0.000 0.500 0.750 x2
Pd 0.000 0.500 0.250 x2

Main lines, sorted by position (2θ from 10° to 90°):
| h k l | 2theta | d/Å | I/Imax |
| --- | --- | --- | --- |
| 1 0 1 | 23.82 | 3.736 | 41 |
| 1 0 3 | 35.32 | 2.541 | 39 |
| 1 1 2 | 36.40 | 2.469 | 100 |
| 0 0 4 | 36.67 | 2.451 | 17 |
| 2 0 0 | 44.86 | 2.020 | 37 |
| 1 0 5 | 51.83 | 1.764 | 14 |
| 2 1 3 | 58.35 | 1.581 | 18 |
| 2 0 4 | 59.27 | 1.559 | 16 |
| 1 1 6 | 65.85 | 1.418 | 16 |
| 3 1 2 | 77.14 | 1.237 | 22 |

=====

# SmHoAg2Pb2
Theoretical X-ray powder pattern, Cu Kα, 1.54184 Å. Input: a crystal structure in OQMD, relaxed with PBE.

a b c (Å): 4.8284 4.8284 7.4909
angles (deg): 90.00 90.00 120.00
Space group P3m1 (No. 156)
Symmetry-distinct sites (fractional):
Sm 0.0000 0.0000 0.0000 x1
Ho 0.0000 0.0000 0.5013 x1
Ag 0.3333 0.6667 0.1933 x1
Ag 0.6667 0.3333 0.6837 x1
Pb 0.3333 0.6667 0.7770 x1
Pb 0.6667 0.3333 0.2834 x1

Main lines, sorted by position (2θ from 10° to 90°):
| h k l | 2theta | d/Å | I/Imax |
| --- | --- | --- | --- |
| 0 1 1 | 24.38 | 3.651 | 27 |
| 0 1 2 | 32.08 | 2.790 | 100 |
| 1 1 0 | 37.24 | 2.414 | 89 |
| 1 0 3 | 42.15 | 2.144 | 26 |
| 2 0 2 | 49.96 | 1.826 | 29 |
| 1 1 4 | 62.80 | 1.480 | 17 |
| 1 2 2 | 63.93 | 1.456 | 28 |
| 3 0 0 | 67.15 | 1.394 | 17 |
| 2 1 3 | 70.52 | 1.335 | 11 |
| 3 1 2 | 88.19 | 1.108 | 12 |